(1)
The following is a computed X-ray diffraction stick pattern of NaCd3Hg8. It was derived from a structure optimized by DFT (PBE), using Cu Ka.
Peak positions follow from Bragg's law for the DFT cell and can differ from measured ones.

Peak list (10 most intense, 10° ≤ 2θ ≤ 90°, by angle)
2.946 Å, 2θ = 30.3°, intensity 81
2.582 Å, 2θ = 34.7°, intensity 100
2.322 Å, 2θ = 38.8°, intensity 26
2.193 Å, 2θ = 41.2°, intensity 36
1.793 Å, 2θ = 50.9°, intensity 35
1.594 Å, 2θ = 57.8°, intensity 14
1.473 Å, 2θ = 63.1°, intensity 18
1.419 Å, 2θ = 65.8°, intensity 32
1.386 Å, 2θ = 67.6°, intensity 14
1.138 Å, 2θ = 85.3°, intensity 16

Atomic structure:
a = 6.2119 Å, b = 6.2119 Å, c = 9.2885 Å
α = 90.00°, β = 90.00°, γ = 120.00°
Fractional positions:
Na 0.0000 0.0000 0.0000
Cd 0.0000 0.0000 0.5000
Cd 0.3333 0.6667 0.5007
Cd 0.6667 0.3333 0.4993
Hg 0.0013 0.3346 0.2550
Hg 0.3333 0.6667 0.9992
Hg 0.3333 0.9987 0.2550
Hg 0.3346 0.3333 0.7450
Hg 0.6654 0.6667 0.2550
Hg 0.6667 0.0013 0.7450
Hg 0.6667 0.3333 0.0008
Hg 0.9987 0.6654 0.7450

***

(2)
The following is a computed X-ray diffraction stick pattern of Na5CdHg8. It was derived from a structure optimized by DFT (PBE), using Cu Ka.
Peak positions follow from Bragg's law for the DFT cell and can differ from measured ones.

Peak list (10 most intense, 10° ≤ 2θ ≤ 90°, by angle)
3.743 Å, 2θ = 23.8°, intensity 26
3.726 Å, 2θ = 23.9°, intensity 92
2.906 Å, 2θ = 30.8°, intensity 52
2.883 Å, 2θ = 31.0°, intensity 85
2.450 Å, 2θ = 36.7°, intensity 47
2.440 Å, 2θ = 36.8°, intensity 100
1.863 Å, 2θ = 48.9°, intensity 41
1.797 Å, 2θ = 50.8°, intensity 20
1.788 Å, 2θ = 51.1°, intensity 27
1.481 Å, 2θ = 62.7°, intensity 19

Atomic structure:
a = 7.9164 Å, b = 7.9164 Å, c = 7.9164 Å
α = 109.72°, β = 109.72°, γ = 108.97°
Fractional positions:
Na 0.0000 0.0000 0.0000
Na 0.1722 0.5078 0.8968
Na 0.4922 0.3890 0.6644
Na 0.6110 0.2754 0.1032
Na 0.7246 0.8278 0.3356
Cd 0.2500 0.7500 0.5000
Hg 0.0057 0.2723 0.4066
Hg 0.1670 0.0854 0.7157
Hg 0.3697 0.4514 0.2843
Hg 0.4009 0.9943 0.2666
Hg 0.5486 0.8330 0.9183
Hg 0.7277 0.1342 0.7334
Hg 0.8658 0.5991 0.5934
Hg 0.9146 0.6303 0.0817

***

(3)
The following is a computed X-ray diffraction stick pattern of Na6CdHg. It was derived from a structure optimized by DFT (PBE), using Cu Ka.
Peak positions follow from Bragg's law for the DFT cell and can differ from measured ones.

Peak list (10 most intense, 10° ≤ 2θ ≤ 90°, by angle)
4.903 Å, 2θ = 18.1°, intensity 94
3.467 Å, 2θ = 25.7°, intensity 83
2.831 Å, 2θ = 31.6°, intensity 100
2.451 Å, 2θ = 36.7°, intensity 50
2.193 Å, 2θ = 41.2°, intensity 49
2.001 Å, 2θ = 45.3°, intensity 37
1.733 Å, 2θ = 52.8°, intensity 34
1.634 Å, 2θ = 56.3°, intensity 24
1.478 Å, 2θ = 62.9°, intensity 39
1.310 Å, 2θ = 72.1°, intensity 19

Atomic structure:
a = 4.9007 Å, b = 4.9007 Å, c = 9.8130 Å
α = 90.00°, β = 90.00°, γ = 90.00°
Fractional positions:
Na 0.0000 0.0000 0.0000
Na 0.0000 0.0000 0.5000
Na 0.0000 0.5000 0.2456
Na 0.0000 0.5000 0.7544
Na 0.5000 0.0000 0.2456
Na 0.5000 0.0000 0.7544
Cd 0.5000 0.5000 0.5000
Hg 0.5000 0.5000 0.0000

***

(4)
The following is a computed X-ray diffraction stick pattern of Na3Cd3Hg4. It was derived from a structure optimized by DFT (PBE), using Cu Ka.
Peak positions follow from Bragg's law for the DFT cell and can differ from measured ones.

Peak list (10 most intense, 10° ≤ 2θ ≤ 90°, by angle)
3.991 Å, 2θ = 22.3°, intensity 85
3.671 Å, 2θ = 24.2°, intensity 45
3.548 Å, 2θ = 25.1°, intensity 34
2.702 Å, 2θ = 33.2°, intensity 94
2.651 Å, 2θ = 33.8°, intensity 100
2.584 Å, 2θ = 34.7°, intensity 46
2.519 Å, 2θ = 35.6°, intensity 44
2.169 Å, 2θ = 41.6°, intensity 35
2.130 Å, 2θ = 42.4°, intensity 29
1.995 Å, 2θ = 45.5°, intensity 28

Atomic structure:
a = 3.9906 Å, b = 8.0741 Å, c = 8.0741 Å
α = 92.44°, β = 90.00°, γ = 90.00°
Fractional positions:
Na 0.0000 0.0000 0.0000
Na 0.0000 0.1828 0.5139
Na 0.0000 0.5139 0.1828
Cd 0.0000 0.6789 0.6789
Cd 0.5000 0.3327 0.8433
Cd 0.5000 0.8433 0.3327
Hg 0.5000 0.2085 0.2085
Hg 0.5000 0.4842 0.4842
Hg 0.5000 0.6959 0.9690
Hg 0.5000 0.9690 0.6959

***

(5)
The following is a computed X-ray diffraction stick pattern of NaCd5Hg12. It was derived from a structure optimized by DFT (PBE), using Cu Ka.
Peak positions follow from Bragg's law for the DFT cell and can differ from measured ones.

Peak list (10 most intense, 10° ≤ 2θ ≤ 90°, by angle)
3.436 Å, 2θ = 25.9°, intensity 15
2.824 Å, 2θ = 31.7°, intensity 100
2.796 Å, 2θ = 32.0°, intensity 72
2.534 Å, 2θ = 35.4°, intensity 59
2.468 Å, 2θ = 36.4°, intensity 41
2.432 Å, 2θ = 37.0°, intensity 17
2.408 Å, 2θ = 37.3°, intensity 38
2.367 Å, 2θ = 38.0°, intensity 21
1.674 Å, 2θ = 54.8°, intensity 22
1.553 Å, 2θ = 59.5°, intensity 23

Atomic structure:
a = 8.6191 Å, b = 8.6191 Å, c = 8.6191 Å
α = 117.66°, β = 112.06°, γ = 99.22°
Fractional positions:
Na 0.0000 0.0000 0.0000
Cd 0.1376 0.6376 0.5000
Cd 0.5000 0.1612 0.6612
Cd 0.5000 0.5000 0.0000
Cd 0.5000 0.8388 0.3388
Cd 0.8624 0.3624 0.5000
Hg 0.0797 0.8128 0.2669
Hg 0.2127 0.2976 0.5104
Hg 0.2127 0.7024 0.9151
Hg 0.2527 0.0652 0.8126
Hg 0.2527 0.4401 0.1874
Hg 0.4540 0.1872 0.2669
Hg 0.5460 0.8128 0.7331
Hg 0.7473 0.5599 0.8126
Hg 0.7473 0.9348 0.1874
Hg 0.7873 0.2976 0.0849
Hg 0.7873 0.7024 0.4896
Hg 0.9203 0.1872 0.7331

***

(6)
The following is a computed X-ray diffraction stick pattern of NaCd2Hg6. It was derived from a structure optimized by DFT (PBE), using Cu Ka.
Peak positions follow from Bragg's law for the DFT cell and can differ from measured ones.

Peak list (10 most intense, 10° ≤ 2θ ≤ 90°, by angle)
2.841 Å, 2θ = 31.5°, intensity 51
2.831 Å, 2θ = 31.6°, intensity 45
2.821 Å, 2θ = 31.7°, intensity 44
2.700 Å, 2θ = 33.2°, intensity 100
2.689 Å, 2θ = 33.3°, intensity 33
2.501 Å, 2θ = 35.9°, intensity 45
2.444 Å, 2θ = 36.8°, intensity 21
2.355 Å, 2θ = 38.2°, intensity 28
2.347 Å, 2θ = 38.3°, intensity 48
1.551 Å, 2θ = 59.6°, intensity 20

Atomic structure:
a = 8.8561 Å, b = 8.8561 Å, c = 6.4342 Å
α = 105.79°, β = 105.79°, γ = 86.16°
Fractional positions:
Na 0.1323 0.8677 0.7500
Na 0.8677 0.1323 0.2500
Cd 0.2902 0.3426 0.6456
Cd 0.3426 0.2902 0.1456
Cd 0.6574 0.7098 0.8544
Cd 0.7098 0.6574 0.3544
Hg 0.0217 0.2199 0.8038
Hg 0.0262 0.4497 0.2616
Hg 0.2199 0.0217 0.3038
Hg 0.3545 0.6437 0.0157
Hg 0.3563 0.6455 0.4843
Hg 0.4497 0.0262 0.7616
Hg 0.5503 0.9738 0.2384
Hg 0.6437 0.3545 0.5157
Hg 0.6455 0.3563 0.9843
Hg 0.7801 0.9783 0.6962
Hg 0.9738 0.5503 0.7384
Hg 0.9783 0.7801 0.1962

***

(7)
The following is a computed X-ray diffraction stick pattern of Na5Cd2Hg12. It was derived from a structure optimized by DFT (PBE), using Cu Ka.
Peak positions follow from Bragg's law for the DFT cell and can differ from measured ones.

Peak list (10 most intense, 10° ≤ 2θ ≤ 90°, by angle)
4.367 Å, 2θ = 20.3°, intensity 29
3.980 Å, 2θ = 22.3°, intensity 36
2.826 Å, 2θ = 31.7°, intensity 38
2.732 Å, 2θ = 32.8°, intensity 100
2.587 Å, 2θ = 34.7°, intensity 92
2.544 Å, 2θ = 35.3°, intensity 47
2.535 Å, 2θ = 35.4°, intensity 58
2.440 Å, 2θ = 36.8°, intensity 43
2.039 Å, 2θ = 44.4°, intensity 24
1.582 Å, 2θ = 58.3°, intensity 39

Atomic structure:
a = 8.8065 Å, b = 8.8065 Å, c = 8.0143 Å
α = 95.20°, β = 95.20°, γ = 54.71°
Fractional positions:
Na 0.0000 0.0000 0.0000
Na 0.2449 0.2449 0.0627
Na 0.3312 0.3312 0.5500
Na 0.6688 0.6688 0.4500
Na 0.7551 0.7551 0.9373
Cd 0.2135 0.7865 0.5000
Cd 0.7865 0.2135 0.5000
Hg 0.0179 0.6284 0.2727
Hg 0.1368 0.1368 0.3633
Hg 0.1944 0.5854 0.8969
Hg 0.3716 0.9821 0.7273
Hg 0.4146 0.8056 0.1031
Hg 0.4571 0.4571 0.2526
Hg 0.5429 0.5429 0.7474
Hg 0.5854 0.1944 0.8969
Hg 0.6284 0.0179 0.2727
Hg 0.8056 0.4146 0.1031
Hg 0.8632 0.8632 0.6367
Hg 0.9821 0.3716 0.7273

***

(8)
The following is a computed X-ray diffraction stick pattern of NaCd11Hg. It was derived from a structure optimized by DFT (PBE), using Cu Ka.
Peak positions follow from Bragg's law for the DFT cell and can differ from measured ones.

Peak list (10 most intense, 10° ≤ 2θ ≤ 90°, by angle)
5.090 Å, 2θ = 17.4°, intensity 64
2.623 Å, 2θ = 34.2°, intensity 65
2.584 Å, 2θ = 34.7°, intensity 42
2.573 Å, 2θ = 34.9°, intensity 44
2.562 Å, 2θ = 35.0°, intensity 86
2.545 Å, 2θ = 35.3°, intensity 100
2.349 Å, 2θ = 38.3°, intensity 49
2.314 Å, 2θ = 38.9°, intensity 90
2.285 Å, 2θ = 39.4°, intensity 56
2.267 Å, 2θ = 39.8°, intensity 96

Atomic structure:
a = 7.8350 Å, b = 7.8350 Å, c = 7.6747 Å
α = 97.92°, β = 97.92°, γ = 134.75°
Fractional positions:
Na 0.0000 0.0000 0.0000
Cd 0.0000 0.5000 0.0000
Cd 0.0053 0.6518 0.6475
Cd 0.2890 0.5016 0.7882
Cd 0.3482 0.9947 0.3525
Cd 0.4984 0.7110 0.2118
Cd 0.5000 0.0000 0.0000
Cd 0.5000 0.5000 0.5000
Cd 0.5016 0.2890 0.7882
Cd 0.6518 0.0053 0.6475
Cd 0.7110 0.4984 0.2118
Cd 0.9947 0.3482 0.3525
Hg 0.0000 0.0000 0.5000

***

(9)
The following is a computed X-ray diffraction stick pattern of NaCd6Hg. It was derived from a structure optimized by DFT (PBE), using Cu Ka.
Peak positions follow from Bragg's law for the DFT cell and can differ from measured ones.

Peak list (10 most intense, 10° ≤ 2θ ≤ 90°, by angle)
5.472 Å, 2θ = 16.2°, intensity 18
3.802 Å, 2θ = 23.4°, intensity 15
2.736 Å, 2θ = 32.7°, intensity 21
2.643 Å, 2θ = 33.9°, intensity 41
2.441 Å, 2θ = 36.8°, intensity 47
2.430 Å, 2θ = 37.0°, intensity 100
1.901 Å, 2θ = 47.9°, intensity 14
1.586 Å, 2θ = 58.2°, intensity 17
1.481 Å, 2θ = 62.7°, intensity 20
1.360 Å, 2θ = 69.1°, intensity 20

Atomic structure:
a = 5.2857 Å, b = 6.3431 Å, c = 6.3431 Å
α = 59.61°, β = 90.00°, γ = 90.00°
Fractional positions:
Na 0.0000 0.0000 0.0000
Cd 0.0000 0.0033 0.4966
Cd 0.0000 0.4966 0.0033
Cd 0.5000 0.1691 0.1691
Cd 0.5000 0.1687 0.6672
Cd 0.5000 0.6672 0.1687
Cd 0.5000 0.6688 0.6688
Hg 0.0000 0.4970 0.4970

***

(10)
The following is a computed X-ray diffraction stick pattern of Na3Cd3Hg10. It was derived from a structure optimized by DFT (PBE), using Cu Ka.
Peak positions follow from Bragg's law for the DFT cell and can differ from measured ones.

Peak list (10 most intense, 10° ≤ 2θ ≤ 90°, by angle)
4.553 Å, 2θ = 19.5°, intensity 19
2.981 Å, 2θ = 30.0°, intensity 55
2.740 Å, 2θ = 32.7°, intensity 39
2.655 Å, 2θ = 33.8°, intensity 100
2.629 Å, 2θ = 34.1°, intensity 20
2.459 Å, 2θ = 36.5°, intensity 52
1.796 Å, 2θ = 50.8°, intensity 26
1.721 Å, 2θ = 53.2°, intensity 25
1.631 Å, 2θ = 56.4°, intensity 23
1.388 Å, 2θ = 67.5°, intensity 23

Atomic structure:
a = 9.1057 Å, b = 9.1057 Å, c = 5.8453 Å
α = 90.00°, β = 90.00°, γ = 120.00°
Fractional positions:
Na 0.0000 0.5951 0.0000
Na 0.4049 0.4049 0.0000
Na 0.5951 0.0000 0.0000
Cd 0.0000 0.3922 0.5000
Cd 0.3922 0.0000 0.5000
Cd 0.6078 0.6078 0.5000
Hg 0.0000 0.2159 0.0000
Hg 0.0000 0.7857 0.5000
Hg 0.2143 0.2143 0.5000
Hg 0.2159 0.0000 0.0000
Hg 0.3333 0.6667 0.2512
Hg 0.3333 0.6667 0.7488
Hg 0.6667 0.3333 0.2512
Hg 0.6667 0.3333 0.7488
Hg 0.7841 0.7841 0.0000
Hg 0.7857 0.0000 0.5000

***

(11)
The following is a computed X-ray diffraction stick pattern of NaCd4Hg12. It was derived from a structure optimized by DFT (PBE), using Cu Ka.
Peak positions follow from Bragg's law for the DFT cell and can differ from measured ones.

Peak list (10 most intense, 10° ≤ 2θ ≤ 90°, by angle)
7.170 Å, 2θ = 12.3°, intensity 12
3.207 Å, 2θ = 27.8°, intensity 100
2.710 Å, 2θ = 33.1°, intensity 27
2.267 Å, 2θ = 39.8°, intensity 29
2.070 Å, 2θ = 43.7°, intensity 15
1.989 Å, 2θ = 45.6°, intensity 44
1.739 Å, 2θ = 52.6°, intensity 11
1.495 Å, 2θ = 62.1°, intensity 14
1.331 Å, 2θ = 70.8°, intensity 12
1.179 Å, 2θ = 81.7°, intensity 18

Atomic structure:
a = 8.7816 Å, b = 8.7816 Å, c = 8.7816 Å
α = 109.47°, β = 109.47°, γ = 109.47°
Fractional positions:
Na 0.0000 0.0000 0.0000
Cd 0.0000 0.0000 0.5000
Cd 0.0000 0.5000 0.0000
Cd 0.5000 0.0000 0.0000
Cd 0.5000 0.5000 0.5000
Hg 0.1479 0.4986 0.3507
Hg 0.1479 0.7972 0.6493
Hg 0.2028 0.3507 0.8521
Hg 0.3507 0.1479 0.4986
Hg 0.3507 0.8521 0.2028
Hg 0.4986 0.3507 0.1479
Hg 0.5014 0.6493 0.8521
Hg 0.6493 0.1479 0.7972
Hg 0.6493 0.8521 0.5014
Hg 0.7972 0.6493 0.1479
Hg 0.8521 0.2028 0.3507
Hg 0.8521 0.5014 0.6493

***

(12)
The following is a computed X-ray diffraction stick pattern of Na6Cd23Hg. It was derived from a structure optimized by DFT (PBE), using Cu Ka.
Peak positions follow from Bragg's law for the DFT cell and can differ from measured ones.

Peak list (10 most intense, 10° ≤ 2θ ≤ 90°, by angle)
4.111 Å, 2θ = 21.6°, intensity 26
2.741 Å, 2θ = 32.7°, intensity 21
2.517 Å, 2θ = 35.7°, intensity 100
2.407 Å, 2θ = 37.4°, intensity 8
2.172 Å, 2θ = 41.6°, intensity 9
2.147 Å, 2θ = 42.1°, intensity 23
1.780 Å, 2θ = 51.3°, intensity 10
1.493 Å, 2θ = 62.2°, intensity 11
1.453 Å, 2θ = 64.1°, intensity 21
1.204 Å, 2θ = 79.7°, intensity 10

Atomic structure:
a = 10.0698 Å, b = 10.0698 Å, c = 10.0698 Å
α = 60.00°, β = 60.00°, γ = 60.00°
Fractional positions:
Na 0.2191 0.2191 0.7809
Na 0.2191 0.7809 0.2191
Na 0.2191 0.7809 0.7809
Na 0.7809 0.2191 0.2191
Na 0.7809 0.2191 0.7809
Na 0.7809 0.7809 0.2191
Cd 0.0000 0.0000 0.5000
Cd 0.0000 0.5000 0.0000
Cd 0.0000 0.5000 0.5000
Cd 0.1350 0.6217 0.6217
Cd 0.1592 0.1592 0.1592
Cd 0.1592 0.1592 0.5225
Cd 0.1592 0.5225 0.1592
Cd 0.3783 0.3783 0.3783
Cd 0.3783 0.3783 0.8650
Cd 0.3783 0.8650 0.3783
Cd 0.4775 0.8408 0.8408
Cd 0.5000 0.0000 0.0000
Cd 0.5000 0.0000 0.5000
Cd 0.5000 0.5000 0.0000
Cd 0.5000 0.5000 0.5000
Cd 0.5225 0.1592 0.1592
Cd 0.6217 0.1350 0.6217
Cd 0.6217 0.6217 0.1350
Cd 0.6217 0.6217 0.6217
Cd 0.8408 0.4775 0.8408
Cd 0.8408 0.8408 0.4775
Cd 0.8408 0.8408 0.8408
Cd 0.8650 0.3783 0.3783
Hg 0.0000 0.0000 0.0000